(1)
Starting from the PBE geometry in the Materials Project, the PXRD pattern of MgNi2P was simulated for Cu Kα (λ = 1.5418 Å).
Neutral-atom scattering factors, no anomalous dispersion.

The 10 most intense peaks (10 to 90 degrees two-theta), sorted by position:
2θ (°)	I_rel	hkl
22.45	73.8	1 0 1
36.27	32.1	1 2 1
38.47	71.7	1 0 2
39.91	55.3	2 2 0
41.11	58.7	1 1 2
43.95	61.8	2 2 1
46.03	96.4	3 0 1
48.32	100.0	1 2 2
48.80	76.1	1 3 1
51.71	43.1	2 3 0

Structure:
Cell: 6.4310 6.3483 5.0248 Å, 90.00 90.00 90.00°
Positions (direct):
Mg1 0.0182 0.2500 0.1263
Mg2 0.4818 0.7500 0.6263
Mg3 0.5182 0.2500 0.3737
Mg4 0.9818 0.7500 0.8737
Ni1 0.1753 0.0529 0.6002
Ni2 0.1753 0.4471 0.6002
Ni3 0.3247 0.5529 0.1002
Ni4 0.3247 0.9471 0.1002
Ni5 0.6753 0.0529 0.8998
Ni6 0.6753 0.4471 0.8998
Ni7 0.8247 0.5529 0.3998
Ni8 0.8247 0.9471 0.3998
P1 0.1257 0.7500 0.3773
P2 0.3743 0.2500 0.8773
P3 0.6257 0.7500 0.1227
P4 0.8743 0.2500 0.6227

(2)
Starting from the PBE geometry in the Materials Project, the PXRD pattern of MgNi4P4S4 was simulated for Cu Kα (λ = 1.5418 Å).
Neutral-atom scattering factors, no anomalous dispersion.

The 10 most intense peaks (10 to 90 degrees two-theta), sorted by position:
2θ (°)	I_rel	hkl
12.23	28.8	0 0 1
24.61	100.0	0 0 2
26.84	31.8	-1 1 1
30.91	14.3	1 0 -2
32.50	20.4	0 2 0
34.46	17.7	2 0 1
37.28	12.3	0 0 3
38.23	18.5	2 -1 1
53.58	19.3	3 1 0
54.56	13.3	-1 3 1

Structure:
Cell: 5.4174 5.5105 7.2620 Å, 89.63 85.11 89.95°
Positions (direct):
Mg1 0.0000 0.0000 0.0000
Ni1 0.3476 0.7246 0.7338
Ni2 0.4713 0.2381 0.2645
Ni3 0.8467 0.2303 0.6777
Ni4 0.9701 0.7389 0.3168
P1 0.3380 0.8774 0.2293
P2 0.4895 0.3687 0.7950
P3 0.8269 0.1215 0.3734
P4 0.9947 0.6076 0.6254
S1 0.0884 0.3575 0.2128
S2 0.2383 0.1078 0.6956
S3 0.5850 0.6120 0.3059
S4 0.7267 0.8467 0.7714

(3)
Starting from the PBE geometry in the Materials Project, the PXRD pattern of MgNi4P4S4 was simulated for Cu Kα (λ = 1.5418 Å).
Neutral-atom scattering factors, no anomalous dispersion.

The 10 most intense peaks (10 to 90 degrees two-theta), sorted by position:
2θ (°)	I_rel	hkl
26.86	93.8	1 1 -1
30.72	100.0	0 0 2
30.91	97.4	0 2 0
31.05	93.6	2 0 0
43.64	40.2	0 2 2
43.82	77.4	2 2 0
44.67	68.7	2 0 -2
52.31	39.2	-1 1 3
52.54	39.5	1 3 -1
52.73	65.3	1 1 -3

Structure:
Cell: 5.7631 5.7890 5.8229 Å, 88.74 88.83 88.74°
Positions (direct):
Mg1 0.0000 0.0000 0.0000
Ni1 0.2861 0.2991 0.7769
Ni2 0.2918 0.7785 0.2940
Ni3 0.7613 0.7704 0.7678
Ni4 0.7750 0.2927 0.2983
P1 0.1829 0.8856 0.6440
P2 0.4165 0.4216 0.4218
P3 0.6395 0.1873 0.8847
P4 0.8788 0.6470 0.1912
S1 0.2065 0.2221 0.2219
S2 0.3841 0.6843 0.8913
S3 0.6765 0.8931 0.3908
S4 0.8856 0.3915 0.6859

What is the formula in the second record?
MgNi4P4S4